1.
Structure and calculated powder diffraction line list of TbAl3 (DFT lattice parameters and positions (PBE); Cu Kα).
Kinematic intensities with the Lorentz-polarization factor, no thermal factor.

Peak list (10 most intense, 10 to 90 degrees two-theta, by intensity)
2θ (°)	Rel. int.	(hkl)
25.25	100	1 0 1
38.32	97	2 0 1
28.34	47	1 1 0
16.25	26	1 0 0
48.34	26	2 1 1
32.84	25	2 0 0
48.88	22	1 1 2
38.97	21	0 0 2
72.65	18	2 2 2
64.84	18	3 1 1

```
TbAl3
1.0
6.299 0.000 0.000
-3.149 5.455 0.000
0.000 0.000 4.623
Tb Al
2 6
Direct
0.333 0.667 0.250
0.667 0.333 0.750
0.146 0.292 0.750
0.146 0.854 0.750
0.292 0.146 0.250
0.708 0.854 0.750
0.854 0.146 0.250
0.854 0.708 0.250
```


2.
Structure and calculated powder diffraction line list of TbAl3 (DFT lattice parameters and positions (PBE); Cu Kα).
Kinematic intensities with the Lorentz-polarization factor, no thermal factor.

Peak list (10 most intense, 10 to 90 degrees two-theta, by intensity)
2θ (°)	Rel. int.	(hkl)
36.43	100	1 1 1
20.80	91	1 0 0
29.57	77	1 1 0
42.32	49	2 0 0
47.60	43	2 1 0
73.54	38	3 1 1
61.39	33	2 2 0
52.47	32	2 1 1
65.56	20	3 0 0
84.95	16	3 2 1

```
TbAl3
1.0
4.272 0.000 0.000
0.000 4.272 0.000
0.000 0.000 4.272
Tb Al
1 3
Direct
0.000 0.000 0.000
0.000 0.500 0.500
0.500 0.000 0.500
0.500 0.500 0.000
```